The following is a computed X-ray powder pattern of Tb3Si4Ir. It was derived from a structure optimized by DFT (GGA-PBE), using λ = 1.5418 Å (Cu Kα).
No peak broadening, texture or thermal motion is included.

Structure:
```
Tb3Si4Ir
1.0
5.699 0.000 0.000
0.000 3.882 0.000
-0.986 0.000 7.255
Tb Si Ir
3 4 1
direct
0.000 0.000 0.000
0.187 0.000 0.474
0.492 0.500 0.846
0.297 0.500 0.202
0.558 0.000 0.176
0.701 0.000 0.611
0.972 0.500 0.699
0.680 0.500 0.403
```

Most intense lines, 10° ≤ 2θ ≤ 80°, low angle first:
2θ/deg, I/Imax
24.5, 46
27.9, 100
29.6, 40
31.4, 38
32.4, 52
33.8, 54
35.6, 42
36.0, 59
38.9, 41
46.8, 33

The following is a computed X-ray powder pattern of NbTlCuTeSe2. It was derived from a structure optimized by DFT (GGA-PBE), using λ = 1.5418 Å (Cu Kα).
No peak broadening, texture or thermal motion is included.

Structure:
```
NbTlCuTeSe2
1.0
1.851 -7.864 0.000
1.851 7.864 0.000
0.000 0.000 10.302
Nb Tl Cu Te Se
2 2 2 2 4
direct
0.000 0.000 0.000
0.000 0.000 0.500
0.230 0.770 0.750
0.770 0.230 0.250
0.463 0.537 0.250
0.537 0.463 0.750
0.081 0.919 0.250
0.919 0.081 0.750
0.383 0.617 0.052
0.383 0.617 0.448
0.617 0.383 0.552
0.617 0.383 0.948
```

Most intense lines, 10° ≤ 2θ ≤ 80°, low angle first:
2θ/deg, I/Imax
17.2, 18
20.6, 26
30.8, 100
34.4, 40
34.8, 32
36.1, 18
38.5, 18
39.7, 20
49.2, 18
53.8, 35

The following is a computed X-ray powder pattern of Cd2I4F. It was derived from a structure optimized by DFT (GGA-PBE), using λ = 1.5418 Å (Cu Kα).
No peak broadening, texture or thermal motion is included.

Structure:
```
Cd2I4F
1.0
4.346 -5.759 0.000
4.346 5.759 0.000
0.000 0.000 4.261
Cd I F
2 4 1
direct
0.000 0.500 0.000
0.500 0.000 0.000
0.199 0.801 0.500
0.289 0.289 0.000
0.711 0.711 0.000
0.801 0.199 0.500
0.500 0.500 0.500
```

Most intense lines, 10° ≤ 2θ ≤ 80°, low angle first:
2θ/deg, I/Imax
25.4, 23
29.4, 100
31.1, 27
37.5, 13
37.7, 15
41.6, 15
42.4, 20
43.3, 39
44.6, 23
57.9, 12

The following is a computed X-ray powder pattern of ZnAg2SnS4. It was derived from a structure optimized by DFT (GGA-PBE), using λ = 1.5418 Å (Cu Kα).
No peak broadening, texture or thermal motion is included.

Structure:
```
ZnAg2SnS4
1.0
-2.827 2.827 5.837
2.827 -2.827 5.837
2.827 2.827 -5.837
Zn Ag Sn S
1 2 1 4
direct
0.000 0.000 0.000
0.250 0.750 0.500
0.750 0.250 0.500
0.500 0.500 0.000
0.128 0.639 0.000
0.361 0.361 0.489
0.639 0.128 0.000
0.872 0.872 0.511
```

Most intense lines, 10° ≤ 2θ ≤ 80°, low angle first:
2θ/deg, I/Imax
27.0, 100
30.6, 8
31.6, 14
44.6, 38
45.4, 18
52.3, 15
53.6, 29
55.7, 6
66.1, 6
71.7, 12

The following is a computed X-ray powder pattern of TaSbS4. It was derived from a structure optimized by DFT (GGA-PBE), using λ = 1.5418 Å (Cu Kα).
No peak broadening, texture or thermal motion is included.

Structure:
```
TaSbS4
1.0
3.474 0.000 0.000
0.000 6.617 3.185
0.000 -6.617 3.185
Ta Sb S
1 1 4
direct
0.000 0.000 0.000
0.500 0.503 0.503
0.000 0.589 0.830
0.000 0.830 0.589
0.500 0.024 0.259
0.500 0.259 0.024
```

Most intense lines, 10° ≤ 2θ ≤ 80°, low angle first:
2θ/deg, I/Imax
13.4, 100
15.4, 9
28.0, 11
30.1, 44
31.2, 24
35.8, 45
39.3, 21
45.4, 25
50.9, 19
67.6, 8